Simulated X-ray powder pattern
Compound: CoPS2N
Radiation: Cu Kα (λ = 1.5418 Å)
Structure: a DFT-relaxed cell (GGA-PBE, Alexandria)

Most intense lines, 10° ≤ 2θ ≤ 90°, in order of rising 2θ:
| hkl | 2θ/deg | I/Imax |
| --- | --- | --- |
| 0 0 1 | 15.73 | 466 |
| 2 0 0 | 22.18 | 687 |
| 2 0 -2 | 31.85 | 585 |
| 1 1 -1 | 32.41 | 198 |
| 1 1 1 | 36.14 | 1000 |
| 4 0 -2 | 45.53 | 197 |
| 3 1 1 | 51.47 | 262 |
| 1 1 -3 | 54.47 | 240 |
| 3 1 -3 | 57.11 | 162 |
| 5 1 -1 | 61.75 | 231 |

Atomic structure:
```
CoPS2N
1.0
8.5485 0.0000 0.0000
0.0000 3.1718 0.0000
-2.0891 0.0000 5.6330
Co P S N
2 2 4 2
direct
0.0000 0.0000 0.0000
0.5000 0.5000 0.0000
0.1586 0.0000 0.7894
0.6586 0.5000 0.7894
0.0416 0.5000 0.5009
0.1511 0.5000 0.2306
0.5416 0.0000 0.5009
0.6511 0.0000 0.2306
0.3563 0.0000 0.8704
0.8563 0.5000 0.8704
```


Simulated X-ray powder pattern
Compound: CoPS2N
Radiation: Cu Kα (λ = 1.5418 Å)
Structure: a DFT-relaxed cell (GGA-PBE, Alexandria)

Most intense lines, 10° ≤ 2θ ≤ 90°, in order of rising 2θ:
| hkl | 2θ/deg | I/Imax |
| --- | --- | --- |
| 0 0 1 | 16.86 | 1000 |
| 0 1 0 | 22.41 | 617 |
| 1 0 0 | 23.10 | 477 |
| 1 0 1 | 24.32 | 786 |
| 0 1 1 | 24.91 | 363 |
| 1 1 0 | 29.77 | 490 |
| 0 0 2 | 34.09 | 416 |
| 1 0 2 | 35.25 | 185 |
| 0 2 1 | 45.13 | 589 |
| 2 1 1 | 45.39 | 279 |

Atomic structure:
```
CoPS2N
1.0
4.1428 0.0000 0.0000
0.9802 4.0703 0.0000
1.9487 1.2079 5.2598
Co P S N
1 1 2 1
direct
0.0000 0.0000 0.0000
0.5403 0.1289 0.8549
0.1213 0.5300 0.8762
0.8618 0.8477 0.3948
0.6520 0.1291 0.5463
```